(1)
For BeSiNi2, a cell relaxed with GGA-PBE gives the simulated powder XRD pattern in this record (λ = 1.5418 Å (Cu Kα)).

Peak list (6 most intense, 5 to 70 degrees two-theta, in order of rising 2θ)
(1 1 1), d 3.136, I 53; (2 0 0), d 2.716, I 485; (2 2 0), d 1.920, I 1000; (3 1 1), d 1.638, I 22; (2 2 2), d 1.568, I 111; (4 0 0), d 1.358, I 149

a = 5.4319 Å, b = 5.4319 Å, c = 5.4319 Å
α = 90.00°, β = 90.00°, γ = 90.00°
Space group Fm-3m (No. 225)
One atom of each set of equivalent atoms:
Be: 0.0000 0.0000 0.0000 [4 per cell]
Si: 0.0000 0.0000 0.5000 [4 per cell]
Ni: 0.2500 0.2500 0.2500 [8 per cell]

(2)
For CaTe2O5, a cell relaxed with GGA-PBE gives the simulated powder XRD pattern in this record (λ = 1.5418 Å (Cu Kα)).

Peak list (10 most intense, 5 to 70 degrees two-theta, in order of rising 2θ)
(0 1 1), d 5.077, I 631; (2 0 0), d 4.385, I 404; (1 1 1), d 4.049, I 536; (1 1 -2), d 4.011, I 524; (1 0 2), d 3.787, I 260; (2 1 -2), d 3.476, I 659; (1 1 2), d 3.179, I 1000; (1 0 -4), d 2.779, I 389; (3 0 -4), d 2.500, I 411; (1 2 -3), d 2.301, I 223

a = 9.6241 Å, b = 5.8517 Å, c = 11.2089 Å
α = 90.00°, β = 114.32°, γ = 90.00°
Space group P2_1/c (No. 14)
One atom of each set of equivalent atoms:
Ca: 0.0246 0.1959 0.1406 [4 per cell]
Te: 0.2577 0.6783 0.2187 [4 per cell]
Te: 0.3481 0.1378 0.4879 [4 per cell]
O: 0.1149 0.6457 0.5845 [4 per cell]
O: 0.1366 0.5087 0.2837 [4 per cell]
O: 0.2052 0.5264 0.8432 [4 per cell]
O: 0.2245 0.0909 0.5965 [4 per cell]
O: 0.4761 0.6070 0.0906 [4 per cell]